K2ZnP2O7: calculated powder diffractogram (λ = 1.5418 Å (Cu Kα)), based on a cell relaxed with GGA-PBE.

```
K2ZnP2O7
1.0
7.984 0.000 0.000
0.000 7.984 0.000
0.000 0.000 11.494
K Zn P O
8 4 8 28
Cartesian
1.209 1.209 0.000
1.473 1.473 5.747
2.519 5.465 0.000
2.783 5.201 5.747
5.201 2.783 5.747
5.465 2.519 0.000
6.511 6.511 5.747
6.775 6.775 0.000
0.000 3.992 2.873
0.000 3.992 8.620
3.992 0.000 2.873
3.992 0.000 8.620
1.089 6.895 3.230
1.089 6.895 8.263
2.903 2.903 2.517
2.903 2.903 8.977
5.080 5.080 2.517
5.080 5.080 8.977
6.895 1.089 3.230
6.895 1.089 8.263
0.000 0.000 3.814
0.000 0.000 7.680
0.628 5.576 3.904
0.628 5.576 7.590
1.084 6.900 1.724
1.084 6.900 9.770
1.584 3.364 1.843
1.584 3.364 9.651
2.408 7.356 3.904
2.408 7.356 7.590
2.908 2.908 4.023
2.908 2.908 7.471
3.364 1.584 1.843
3.364 1.584 9.651
3.992 3.992 1.933
3.992 3.992 9.561
4.620 6.400 1.843
4.620 6.400 9.651
5.076 5.076 4.023
5.076 5.076 7.471
5.576 0.628 3.904
5.576 0.628 7.590
6.400 4.620 1.843
6.400 4.620 9.651
6.900 1.084 1.724
6.900 1.084 9.770
7.356 2.408 3.904
7.356 2.408 7.590
```

Most intense lines, 2θ from 5° to 70°, in order of rising 2θ:
(0 0 2), 15.42°, I = 43; (1 1 2), 22.07°, I = 27; (1 0 3), 25.79°, I = 11; (2 0 2), 27.20°, I = 52; (2 1 2), 29.45°, I = 100; (0 0 4), 31.13°, I = 11; (2 2 0), 31.70°, I = 10; (3 1 0), 35.56°, I = 32; (2 2 4), 45.02°, I = 12; (3 1 4), 47.97°, I = 34; (4 2 0), 51.14°, I = 17; (0 0 8), 64.95°, I = 10

=====

KZnP3O9: calculated powder diffractogram (λ = 1.5418 Å (Cu Kα)), based on a cell relaxed with GGA-PBE.

```
KZnP3O9
1.0
6.691 0.000 0.000
-3.346 5.795 0.000
0.000 0.000 10.010
K Zn P O
2 2 6 18
Cartesian
0.000 0.000 0.000
0.000 0.000 5.005
3.346 1.932 0.000
3.346 1.932 5.005
-1.142 2.554 2.502
-1.705 3.529 7.507
1.142 2.554 7.507
-0.563 5.507 2.502
1.705 3.529 2.502
0.563 5.507 7.507
-0.478 2.483 7.507
-1.435 4.140 2.502
0.478 2.483 2.502
-0.957 4.967 7.507
2.486 0.415 1.213
2.486 0.415 3.792
1.602 1.945 6.218
1.602 1.945 8.797
1.435 4.140 7.507
0.957 4.967 2.502
4.206 0.415 6.218
4.206 0.415 8.797
2.462 3.435 1.213
2.462 3.435 3.792
5.089 1.945 1.213
5.089 1.945 3.792
4.229 3.435 6.218
4.229 3.435 8.797
```

Most intense lines, 2θ from 5° to 70°, in order of rising 2θ:
(1 0 0), 15.29°, I = 43; (1 0 2), 23.49°, I = 100; (1 1 1), 28.12°, I = 36; (2 0 0), 30.86°, I = 18; (1 1 2), 32.18°, I = 81; (0 0 4), 35.86°, I = 17; (1 1 4), 45.24°, I = 17; (3 0 0), 47.04°, I = 16; (2 0 4), 48.04°, I = 16; (2 1 4), 55.77°, I = 21; (2 2 2), 58.14°, I = 15; (4 0 2), 67.31°, I = 13

=====

K2ZrP2O8: calculated powder diffractogram (λ = 1.5418 Å (Cu Kα)), based on a cell relaxed with GGA-PBE.

```
K2ZrP2O8
1.0
5.245 0.000 0.000
-2.623 4.542 0.000
0.000 0.000 9.130
K Zr P O
2 1 2 8
Cartesian
0.000 3.028 1.373
2.623 1.514 7.757
0.000 0.000 4.565
0.000 3.028 6.339
2.623 1.514 2.791
-0.472 1.642 5.801
-0.964 4.130 5.801
0.000 3.028 7.864
1.186 1.230 3.329
1.437 3.312 5.801
2.623 1.514 1.266
3.587 0.412 3.329
3.095 2.900 3.329
```

Most intense lines, 2θ from 5° to 70°, in order of rising 2θ:
(0 0 1), 9.69°, I = 88; (0 1 1), 21.85°, I = 100; (0 1 2), 27.70°, I = 96; (1 1 0), 34.19°, I = 51; (0 2 1), 40.95°, I = 13; (1 0 4), 44.42°, I = 23; (2 0 2), 44.56°, I = 17; (2 -1 3), 45.67°, I = 26; (1 2 1), 54.37°, I = 17; (0 2 4), 57.22°, I = 12; (3 -2 2), 57.34°, I = 18; (3 0 0), 61.22°, I = 14

=====

KZrP2O8: calculated powder diffractogram (λ = 1.5418 Å (Cu Kα)), based on a cell relaxed with GGA-PBE.

```
KZrP2O8
1.0
9.346 0.000 0.000
0.000 5.444 0.000
-6.938 0.000 15.547
K Zr P O
4 4 8 32
Cartesian
-1.734 0.294 3.887
-5.203 5.149 11.660
-0.530 0.343 11.660
2.938 5.101 3.887
-1.131 1.248 7.809
2.338 4.195 0.035
0.070 1.248 15.512
3.539 4.195 7.738
0.744 1.499 1.782
-2.725 3.945 9.555
-3.049 1.489 13.810
0.420 3.955 6.036
1.988 1.489 9.511
5.457 3.955 1.737
5.133 1.499 5.992
1.664 3.945 13.765
-2.743 1.376 6.470
-6.212 4.068 14.243
-2.106 2.637 9.024
1.362 2.806 1.250
1.544 0.292 1.224
-1.924 5.152 8.998
-3.204 1.538 12.277
0.265 3.906 4.503
0.822 1.422 3.318
-2.647 4.021 11.092
-3.888 0.292 14.331
-0.419 5.151 6.558
-0.082 2.653 6.690
-3.551 2.791 14.464
0.505 1.242 9.128
3.974 4.201 1.355
-1.566 1.242 14.192
1.903 4.201 6.419
5.959 2.653 1.083
2.490 2.791 8.857
2.827 0.292 8.989
6.296 5.151 1.216
5.055 1.422 4.455
1.586 4.021 12.229
2.143 1.538 11.044
5.612 3.906 3.270
4.332 0.292 6.549
0.863 5.152 14.323
1.045 2.637 14.297
4.514 2.806 6.523
8.620 1.376 1.304
5.151 4.068 9.077
```

Most intense lines, 2θ from 5° to 70°, in order of rising 2θ:
(0 0 2), 11.38°, I = 49; (1 1 -1), 18.92°, I = 34; (2 0 0), 20.82°, I = 35; (1 1 -3), 22.90°, I = 100; (2 0 2), 27.64°, I = 32; (1 1 3), 28.67°, I = 13; (1 1 -5), 31.00°, I = 20; (3 1 -3), 33.44°, I = 22; (2 2 -4), 41.06°, I = 15; (2 2 -6), 46.77°, I = 13; (1 3 -3), 53.11°, I = 11; (2 2 -8), 54.80°, I = 15